Structure and theoretical powder diffractogram of Cr3B7ClO13 (a structure optimized by DFT (GGA+U); copper Kα).
Kinematic intensities with the Lorentz-polarization factor, no thermal factor.

Top 10 peaks for 10 to 80 degrees two-theta, in order of rising 2θ:
2θ 25.14, I = 36; 2θ 29.11, I = 100; 2θ 32.64, I = 55; 2θ 41.64, I = 56; 2θ 43.64, I = 38; 2θ 49.26, I = 42; 2θ 51.61, I = 31; 2θ 62.41, I = 16; 2θ 68.38, I = 28; 2θ 75.99, I = 27

Atomic structure:
```
data_Cr3B7ClO13
_cell_length_a 12.2707
_cell_length_b 12.2707
_cell_length_c 12.2707
_cell_angle_alpha 90.00
_cell_angle_beta 90.00
_cell_angle_gamma 90.00
_symmetry_space_group_name_H-M 'F -4 3 c'
_symmetry_Int_Tables_number 219
_symmetry_space_group_name_Hall 'F -4a 2 3'
loop_
_atom_site_label
_atom_site_type_symbol
_atom_site_fract_x
_atom_site_fract_y
_atom_site_fract_z
Cr1 Cr 0.0000 0.0000 0.2500
B1 B 0.0000 0.2500 0.2500
B2 B 0.1700 0.1700 0.3300
Cl1 Cl 0.0000 0.0000 0.0000
O1 O 0.0700 0.1543 0.2702
O2 O 0.2500 0.2500 0.2500
```